Record 1
KPa4Pd3S12: theoretical powder XRD pattern (Cu Kα (weighted mean of Kα1 and Kα2)), based on a crystal structure in Alexandria, relaxed with GGA-PBE.

Atomic structure:
a = 8.4842 Å, b = 8.4842 Å, c = 8.4842 Å
α = 109.47°, β = 109.47°, γ = 109.47°
Fractional coordinates of all 20 atoms:
K (0.0000, 0.0000, 0.0000)
Pa (0.0000, 0.0000, 0.5000)
Pa (0.0000, 0.5000, 0.0000)
Pa (0.5000, 0.0000, 0.0000)
Pa (0.5000, 0.5000, 0.5000)
Pd (0.0000, 0.5000, 0.5000)
Pd (0.5000, 0.0000, 0.5000)
Pd (0.5000, 0.5000, 0.0000)
S (0.1499, 0.8355, 0.3143)
S (0.1645, 0.3143, 0.4788)
S (0.1645, 0.6857, 0.8501)
S (0.3143, 0.1499, 0.8355)
S (0.3143, 0.4788, 0.1645)
S (0.4788, 0.1645, 0.3143)
S (0.5212, 0.8355, 0.6857)
S (0.6857, 0.5212, 0.8355)
S (0.6857, 0.8501, 0.1645)
S (0.8355, 0.3143, 0.1499)
S (0.8355, 0.6857, 0.5212)
S (0.8501, 0.1645, 0.6857)

Main lines, in order of rising 2θ (2θ from 10° to 80°):
2theta	I (rel.)
18.1	25.5
25.7	100.0
36.7	26.2
41.2	17.5
45.4	61.5
52.9	15.3
59.7	22.8
62.9	5.3
66.1	5.9
72.2	24.6


Record 2
K4Pa3PdSe8: theoretical powder XRD pattern (Cu Kα (weighted mean of Kα1 and Kα2)), based on a crystal structure in Alexandria, relaxed with GGA-PBE.

Atomic structure:
a = 8.3683 Å, b = 8.3683 Å, c = 9.1130 Å
α = 117.38°, β = 117.38°, γ = 59.88°
Fractional coordinates of all 16 atoms:
K (0.0000, 0.0000, 0.0000)
K (0.0000, 0.5000, 0.0000)
K (0.5000, 0.0000, 0.0000)
K (0.5000, 0.5000, 0.0000)
Pa (0.0000, 0.0000, 0.5000)
Pa (0.0000, 0.5000, 0.5000)
Pa (0.5000, 0.0000, 0.5000)
Pd (0.5000, 0.5000, 0.5000)
Se (0.2282, 0.7374, 0.7034)
Se (0.2369, 0.2369, 0.7112)
Se (0.2612, 0.2612, 0.2954)
Se (0.2626, 0.7718, 0.2966)
Se (0.7374, 0.2282, 0.7034)
Se (0.7388, 0.7388, 0.7046)
Se (0.7631, 0.7631, 0.2888)
Se (0.7718, 0.2626, 0.2966)

Main lines, in order of rising 2θ (2θ from 10° to 80°):
2theta	I (rel.)
11.5	73.0
24.9	18.8
29.1	100.0
36.8	22.9
39.9	35.9
43.3	35.4
44.9	11.4
50.1	12.9
53.0	12.2
60.3	10.5


Record 3
KPm2PaS5: theoretical powder XRD pattern (Cu Kα (weighted mean of Kα1 and Kα2)), based on a crystal structure in Alexandria, relaxed with GGA-PBE.

Atomic structure:
a = 8.1731 Å, b = 8.1731 Å, c = 8.1731 Å
α = 143.91°, β = 127.68°, γ = 65.21°
Fractional coordinates of all 9 atoms:
K (0.0000, 0.0000, 0.0000)
Pm (0.2968, 0.7968, 0.5000)
Pm (0.7032, 0.2032, 0.5000)
Pa (0.5000, 0.5000, 0.0000)
S (0.1120, 0.3500, 0.7619)
S (0.4119, 0.6500, 0.7619)
S (0.5000, 0.0000, 0.5000)
S (0.5881, 0.3500, 0.2381)
S (0.8880, 0.6500, 0.2381)

Main lines, in order of rising 2θ (2θ from 10° to 80°):
2theta	I (rel.)
13.9	83.3
24.7	24.2
25.1	100.0
34.9	24.9
35.5	24.0
36.1	23.3
36.3	43.2
43.7	35.4
50.6	25.9
51.5	16.4


Record 4
KPmPaSe4: theoretical powder XRD pattern (Cu Kα (weighted mean of Kα1 and Kα2)), based on a crystal structure in Alexandria, relaxed with GGA-PBE.

Atomic structure:
a = 8.8554 Å, b = 8.8554 Å, c = 8.8554 Å
α = 120.35°, β = 119.53°, γ = 90.11°
Fractional coordinates of all 14 atoms:
K (0.3752, 0.1252, 0.2500)
K (0.6248, 0.8748, 0.7500)
Pm (0.0000, 0.5000, 0.5000)
Pm (0.5000, 0.5000, 0.0000)
Pa (0.0000, 0.0000, 0.5000)
Pa (0.0000, 0.5000, 0.0000)
Se (0.1970, 0.7369, 0.4602)
Se (0.2233, 0.2631, 0.9602)
Se (0.2274, 0.2576, 0.5301)
Se (0.2274, 0.6973, 0.9699)
Se (0.7726, 0.3027, 0.0301)
Se (0.7726, 0.7424, 0.4699)
Se (0.7767, 0.7369, 0.0398)
Se (0.8030, 0.2631, 0.5398)

Main lines, in order of rising 2θ (2θ from 10° to 80°):
2theta	I (rel.)
12.2	80.6
12.3	31.7
23.5	28.5
23.6	38.3
28.5	100.0
37.2	25.9
37.3	31.6
40.8	59.7
41.0	15.5
66.8	16.4


Record 5
KPrPaSe4: theoretical powder XRD pattern (Cu Kα (weighted mean of Kα1 and Kα2)), based on a crystal structure in Alexandria, relaxed with GGA-PBE.

Atomic structure:
a = 8.9042 Å, b = 8.9042 Å, c = 8.9042 Å
α = 120.84°, β = 119.03°, γ = 90.12°
Fractional coordinates of all 14 atoms:
K (0.3779, 0.1279, 0.2500)
K (0.6221, 0.8721, 0.7500)
Pr (0.0000, 0.5000, 0.5000)
Pr (0.5000, 0.5000, 0.0000)
Pa (0.0000, 0.0000, 0.5000)
Pa (0.0000, 0.5000, 0.0000)
Se (0.1968, 0.7387, 0.4581)
Se (0.2194, 0.2613, 0.9581)
Se (0.2260, 0.2530, 0.5270)
Se (0.2260, 0.6990, 0.9730)
Se (0.7740, 0.3010, 0.0270)
Se (0.7740, 0.7470, 0.4730)
Se (0.7806, 0.7387, 0.0419)
Se (0.8032, 0.2613, 0.5419)

Main lines, in order of rising 2θ (2θ from 10° to 80°):
2theta	I (rel.)
12.1	84.7
12.3	28.2
23.6	38.5
28.3	100.0
36.9	26.9
37.1	19.3
39.9	14.8
40.5	59.7
41.1	15.6
66.4	16.3


Record 6
K3Pa3PtSe8: theoretical powder XRD pattern (Cu Kα (weighted mean of Kα1 and Kα2)), based on a crystal structure in Alexandria, relaxed with GGA-PBE.

Atomic structure:
a = 8.0747 Å, b = 8.0747 Å, c = 8.8807 Å
α = 113.68°, β = 113.68°, γ = 64.32°
Fractional coordinates of all 15 atoms:
K (0.0000, 0.0000, 0.0000)
K (0.0000, 0.5000, 0.0000)
K (0.5000, 0.0000, 0.0000)
Pa (0.0000, 0.5000, 0.5000)
Pa (0.5000, 0.0000, 0.5000)
Pa (0.5000, 0.5000, 0.5000)
Pt (0.0000, 0.0000, 0.5000)
Se (0.2090, 0.2090, 0.6819)
Se (0.2532, 0.7035, 0.7152)
Se (0.2610, 0.2610, 0.2888)
Se (0.2965, 0.7468, 0.2848)
Se (0.7035, 0.2532, 0.7152)
Se (0.7390, 0.7390, 0.7112)
Se (0.7468, 0.2965, 0.2848)
Se (0.7910, 0.7910, 0.3181)

Main lines, in order of rising 2θ (2θ from 10° to 80°):
2theta	I (rel.)
11.3	100.0
24.9	23.2
29.2	70.0
29.7	29.8
36.9	16.7
39.0	24.2
41.5	12.6
42.0	12.6
45.1	20.3
52.3	11.4